[1]
# Cs2DyGeCl6
Computed PXRD pattern, Cu Kα. Input: DFT lattice parameters and positions (PBE).
Peak positions follow from Bragg's law for the DFT cell and can differ from measured ones.

Structure:
Lattice parameters (Å, degrees): 7.990 7.990 10.599 90.00 90.00 90.00
Space group I4/mmm (No. 139)
Asymmetric unit:
Cs 0.000 0.500 0.250
Dy 0.000 0.000 0.000
Ge 0.000 0.000 0.500
Cl 0.000 0.000 0.250
Cl 0.233 0.233 0.000

Most intense lines, 10 to 90 degrees two-theta, most intense first:
| 2θ (°) | Rel. int. |
| --- | --- |
| 23.01 | 100 |
| 31.67 | 63 |
| 22.25 | 55 |
| 39.51 | 48 |
| 47.02 | 39 |
| 33.83 | 26 |
| 40.87 | 23 |
| 45.40 | 22 |
| 27.97 | 21 |
| 57.81 | 20 |

[2]
# CsErTa6Cl18
Computed PXRD pattern, Cu Kα. Input: DFT lattice parameters and positions (PBE).
Peak positions follow from Bragg's law for the DFT cell and can differ from measured ones.

Structure:
Lattice parameters (Å, degrees): 9.2737 9.2737 17.3024 90.00 90.00 120.00
Space group P-31c (No. 163)
Asymmetric unit:
Cs 0.3333 0.6667 0.2500
Er 0.3333 0.6667 0.7500
Ta 0.0396 0.1958 0.9322
Cl 0.0469 0.2356 0.1614
Cl 0.0870 0.4495 0.8383
Cl 0.1428 0.4211 0.4987

Most intense lines, 10 to 90 degrees two-theta, most intense first:
| 2θ (°) | Rel. int. |
| --- | --- |
| 11.02 | 100 |
| 15.05 | 99 |
| 36.15 | 47 |
| 43.30 | 37 |
| 10.22 | 26 |
| 29.42 | 21 |
| 21.75 | 20 |
| 44.33 | 19 |
| 40.27 | 19 |
| 35.09 | 15 |

[3]
# Cs2PdCl2F2
Computed PXRD pattern, Cu Kα. Input: DFT lattice parameters and positions (PBE).
Peak positions follow from Bragg's law for the DFT cell and can differ from measured ones.

Structure:
Lattice parameters (Å, degrees): 4.146 6.831 6.836 90.00 90.00 90.00
Space group Pmm2 (No. 25)
Asymmetric unit:
Cs 0.000 0.000 0.000
Cs 0.000 0.500 0.364
Pd 0.500 0.500 0.904
Cl 0.500 0.256 0.676
F 0.500 0.293 0.120

Most intense lines, 10 to 90 degrees two-theta, most intense first:
| 2θ (°) | Rel. int. |
| --- | --- |
| 28.37 | 100 |
| 12.96 | 42 |
| 29.22 | 33 |
| 25.12 | 32 |
| 47.45 | 28 |
| 37.22 | 28 |
| 53.13 | 25 |
| 26.08 | 24 |
| 34.00 | 24 |
| 36.53 | 22 |

[4]
# Cs2PdCl2F2
Computed PXRD pattern, Cu Kα. Input: DFT lattice parameters and positions (PBE).
Peak positions follow from Bragg's law for the DFT cell and can differ from measured ones.

Structure:
Lattice parameters (Å, degrees): 8.308 10.764 4.117 90.00 90.00 90.00
Space group Cmmm (No. 65)
Asymmetric unit:
Cs 0.250 0.250 0.000
Pd 0.000 0.000 0.500
Cl 0.221 0.500 0.500
F 0.000 0.187 0.500

Most intense lines, 10 to 90 degrees two-theta, most intense first:
| 2θ (°) | Rel. int. |
| --- | --- |
| 27.27 | 100 |
| 30.57 | 50 |
| 27.11 | 45 |
| 34.92 | 38 |
| 13.46 | 38 |
| 33.29 | 33 |
| 52.17 | 29 |
| 45.83 | 26 |
| 55.88 | 25 |
| 73.72 | 19 |

[5]
# Cs2PdCl3F
Computed PXRD pattern, Cu Kα. Input: DFT lattice parameters and positions (PBE).
Peak positions follow from Bragg's law for the DFT cell and can differ from measured ones.

Structure:
Lattice parameters (Å, degrees): 4.419 9.474 10.804 90.00 90.00 90.00
Space group Amm2 (No. 38)
Asymmetric unit:
Cs 0.000 0.217 0.000
Pd 0.500 0.000 0.746
Cl 0.500 0.000 0.533
Cl 0.500 0.246 0.750
F 0.500 0.000 0.936

Most intense lines, 10 to 90 degrees two-theta, most intense first:
| 2θ (°) | Rel. int. |
| --- | --- |
| 26.05 | 100 |
| 12.43 | 62 |
| 27.61 | 60 |
| 32.28 | 45 |
| 33.17 | 37 |
| 25.00 | 35 |
| 23.69 | 35 |
| 43.68 | 28 |
| 37.96 | 27 |
| 46.65 | 25 |

[6]
# Cs6Fe24Se26Cl
Computed PXRD pattern, Cu Kα. Input: DFT lattice parameters and positions (PBE).
Peak positions follow from Bragg's law for the DFT cell and can differ from measured ones.

Structure:
Lattice parameters (Å, degrees): 10.975 10.975 22.227 90.00 90.00 90.00
Space group I4/mmm (No. 139)
Asymmetric unit:
Cs 0.000 0.000 0.145
Cs 0.000 0.293 0.000
Fe 0.118 0.118 0.434
Fe 0.118 0.381 0.308
Se 0.000 0.000 0.361
Se 0.000 0.237 0.250
Se 0.000 0.255 0.500
Se 0.000 0.500 0.122
Se 0.249 0.249 0.128
Cl 0.000 0.000 0.000

Most intense lines, 10 to 90 degrees two-theta, most intense first:
| 2θ (°) | Rel. int. |
| --- | --- |
| 28.05 | 100 |
| 46.52 | 51 |
| 46.83 | 26 |
| 55.47 | 23 |
| 35.44 | 13 |
| 54.93 | 12 |
| 42.79 | 12 |
| 86.76 | 12 |
| 32.64 | 8 |
| 75.00 | 7 |

[7]
# Cs3Gd2Cl9
Computed PXRD pattern, Cu Kα. Input: DFT lattice parameters and positions (PBE).
Peak positions follow from Bragg's law for the DFT cell and can differ from measured ones.

Structure:
Lattice parameters (Å, degrees): 7.6010 7.6010 9.4687 90.00 90.00 120.00
Space group P321 (No. 150)
Asymmetric unit:
Cs 0.0000 0.0000 0.0000
Cs 0.3333 0.6667 0.6422
Gd 0.3333 0.6667 0.1790
Cl 0.0000 0.5024 0.0000
Cl 0.1656 0.3356 0.3229

Most intense lines, 10 to 90 degrees two-theta, most intense first:
| 2θ (°) | Rel. int. |
| --- | --- |
| 33.15 | 100 |
| 23.14 | 87 |
| 23.41 | 81 |
| 40.98 | 40 |
| 47.87 | 34 |
| 47.30 | 31 |
| 28.72 | 29 |
| 16.40 | 26 |
| 13.45 | 21 |
| 41.14 | 19 |

[8]
# CsGdCl3
Computed PXRD pattern, Cu Kα. Input: DFT lattice parameters and positions (PBE).
Peak positions follow from Bragg's law for the DFT cell and can differ from measured ones.

Structure:
Lattice parameters (Å, degrees): 7.632 7.632 5.413 90.00 90.00 90.00
Space group P4/mbm (No. 127)
Asymmetric unit:
Cs 0.000 0.500 0.000
Gd 0.000 0.000 0.500
Cl 0.000 0.000 0.000
Cl 0.233 0.267 0.500

Most intense lines, 10 to 90 degrees two-theta, most intense first:
| 2θ (°) | Rel. int. |
| --- | --- |
| 23.29 | 100 |
| 40.92 | 47 |
| 47.61 | 35 |
| 33.20 | 34 |
| 33.10 | 17 |
| 64.52 | 17 |
| 53.70 | 14 |
| 59.25 | 12 |
| 79.38 | 10 |
| 64.60 | 8 |